Simulated powder diffractogram
Compound: Gd3SbO7
Radiation: Cu Kα (weighted mean of Kα1 and Kα2)
Structure: a cell relaxed with GGA-PBE
Neutral-atom scattering factors, no anomalous dispersion.

Cell and atoms:
Cell lengths 6.5612, 6.5612, 7.6045 Å; angles 90.00, 90.00, 109.42 degrees
Sites, in units of the cell vectors:
Gd 0.0115 0.0115 0.0000
Gd 0.0312 0.4997 0.2520
Gd 0.4997 0.0312 0.7480
Gd 0.5003 0.9688 0.2480
Gd 0.9688 0.5003 0.7520
Gd 0.9885 0.9885 0.5000
Sb 0.4993 0.4993 0.0000
Sb 0.5007 0.5007 0.5000
O 0.1290 0.8710 0.7500
O 0.1371 0.8629 0.2500
O 0.1786 0.4239 0.9725
O 0.1849 0.4366 0.5320
O 0.4239 0.1786 0.0275
O 0.4330 0.5670 0.2500
O 0.4366 0.1849 0.4680
O 0.5634 0.8151 0.9680
O 0.5670 0.4330 0.7500
O 0.5761 0.8214 0.5275
O 0.8151 0.5634 0.0320
O 0.8214 0.5761 0.4725
O 0.8629 0.1371 0.7500
O 0.8710 0.1290 0.2500

Largest 8 diffraction maxima, most intense first, 10° ≤ 2θ ≤ 80°:
| 2θ/deg | d_spacing | intensity |
| --- | --- | --- |
| 28.8 | 3.097 | 100 |
| 48.0 | 1.896 | 36 |
| 33.4 | 2.682 | 34 |
| 57.0 | 1.616 | 26 |
| 56.8 | 1.620 | 15 |
| 77.6 | 1.230 | 12 |
| 47.8 | 1.901 | 8 |
| 59.8 | 1.547 | 5 |